# 1
# Sm4PdI5
Computed powder X-ray diffraction pattern, Cu Ka. Input: a structure optimized by DFT (GGA-PBE).

Crystal structure
a = 10.061 Å, b = 10.061 Å, c = 9.114 Å
α = 102.42°, β = 102.42°, γ = 24.10°
Fractional positions:
Sm (0.001, 0.001, 0.209)
Sm (0.352, 0.352, 0.923)
Sm (0.648, 0.648, 0.077)
Sm (0.999, 0.999, 0.791)
Pd (0.500, 0.500, 0.000)
I (0.168, 0.168, 0.345)
I (0.176, 0.176, 0.826)
I (0.500, 0.500, 0.500)
I (0.824, 0.824, 0.174)
I (0.832, 0.832, 0.655)

Top 10 peaks for 15° ≤ 2θ ≤ 90°, most intense first:
- 28.91°, I = 100
- 27.89°, I = 52
- 40.43°, I = 36
- 40.77°, I = 33
- 52.10°, I = 18
- 43.07°, I = 18
- 39.56°, I = 17
- 31.79°, I = 10
- 31.56°, I = 10
- 59.90°, I = 10

***

# 2
# La3CoCu
Computed powder X-ray diffraction pattern, Cu Ka. Input: a structure optimized by DFT (GGA-PBE).

Crystal structure
a = 6.335 Å, b = 6.374 Å, c = 7.602 Å
α = 88.80°, β = 79.73°, γ = 63.28°
Fractional positions:
La (0.007, 0.086, 0.280)
La (0.308, 0.228, 0.834)
La (0.326, 0.432, 0.354)
La (0.674, 0.568, 0.646)
La (0.692, 0.772, 0.166)
La (0.993, 0.914, 0.720)
Co (0.370, 0.906, 0.470)
Co (0.630, 0.094, 0.530)
Cu (0.308, 0.689, 0.995)
Cu (0.692, 0.311, 0.005)

Top 10 peaks for 15° ≤ 2θ ≤ 90°, most intense first:
- 30.19°, I = 100
- 31.30°, I = 95
- 33.45°, I = 50
- 29.07°, I = 39
- 27.70°, I = 38
- 34.11°, I = 38
- 27.06°, I = 38
- 50.41°, I = 37
- 38.01°, I = 36
- 28.67°, I = 34

***

# 3
# Dy8GeS6
Computed powder X-ray diffraction pattern, Cu Ka. Input: a structure optimized by DFT (GGA-PBE).

Crystal structure
a = 10.091 Å, b = 10.091 Å, c = 3.936 Å
α = 90.00°, β = 90.00°, γ = 120.00°
Fractional positions:
Dy (0.033, 0.327, 0.255)
Dy (0.294, 0.967, 0.255)
Dy (0.327, 0.294, 0.745)
Dy (0.333, 0.667, 0.748)
Dy (0.667, 0.333, 0.252)
Dy (0.673, 0.706, 0.255)
Dy (0.706, 0.033, 0.745)
Dy (0.967, 0.673, 0.745)
Ge (0.000, 0.000, 0.500)
S (0.134, 0.652, 0.249)
S (0.348, 0.482, 0.249)
S (0.482, 0.134, 0.751)
S (0.518, 0.866, 0.249)
S (0.652, 0.518, 0.751)
S (0.866, 0.348, 0.751)

Top 10 peaks for 15° ≤ 2θ ≤ 90°, most intense first:
- 30.69°, I = 100
- 28.77°, I = 89
- 42.57°, I = 42
- 30.57°, I = 41
- 35.48°, I = 40
- 51.13°, I = 31
- 56.43°, I = 28
- 80.76°, I = 19
- 53.39°, I = 18
- 37.09°, I = 17

***

# 4
# MgHg3Pd3
Computed powder X-ray diffraction pattern, Cu Ka. Input: a structure optimized by DFT (GGA-PBE).

Crystal structure
a = 6.609 Å, b = 6.609 Å, c = 6.172 Å
α = 90.00°, β = 90.00°, γ = 90.67°
Fractional positions:
Mg (0.249, 0.751, 0.000)
Mg (0.751, 0.249, 0.000)
Hg (0.264, 0.736, 0.500)
Hg (0.268, 0.268, 0.500)
Hg (0.273, 0.273, 0.000)
Hg (0.727, 0.727, 0.000)
Hg (0.732, 0.732, 0.500)
Hg (0.736, 0.264, 0.500)
Pd (0.000, 0.000, 0.246)
Pd (0.000, 0.000, 0.754)
Pd (0.000, 0.500, 0.242)
Pd (0.000, 0.500, 0.758)
Pd (0.500, 0.000, 0.242)
Pd (0.500, 0.000, 0.758)

Top 10 peaks for 15° ≤ 2θ ≤ 90°, most intense first:
- 39.98°, I = 100
- 38.30°, I = 29
- 38.77°, I = 25
- 70.37°, I = 18
- 55.63°, I = 17
- 70.99°, I = 15
- 19.10°, I = 13
- 26.99°, I = 13
- 86.26°, I = 10
- 73.41°, I = 8

***

# 5
# Ac3Mg6In5
Computed powder X-ray diffraction pattern, Cu Ka. Input: a structure optimized by DFT (GGA-PBE).

Crystal structure
a = 9.384 Å, b = 9.384 Å, c = 9.384 Å
α = 149.37°, β = 109.01°, γ = 79.27°
Fractional positions:
Ac (0.000, 0.000, 0.000)
Ac (0.295, 0.295, 0.000)
Ac (0.705, 0.705, 0.000)
Mg (0.135, 0.855, 0.280)
Mg (0.312, 0.500, 0.812)
Mg (0.425, 0.145, 0.280)
Mg (0.575, 0.855, 0.720)
Mg (0.688, 0.500, 0.188)
Mg (0.865, 0.145, 0.720)
In (0.018, 0.655, 0.363)
In (0.292, 0.655, 0.637)
In (0.500, 0.000, 0.500)
In (0.708, 0.345, 0.363)
In (0.982, 0.345, 0.637)

Top 10 peaks for 15° ≤ 2θ ≤ 90°, most intense first:
- 25.79°, I = 100
- 30.64°, I = 71
- 30.51°, I = 61
- 16.27°, I = 49
- 30.83°, I = 45
- 36.24°, I = 43
- 59.14°, I = 40
- 31.72°, I = 37
- 29.66°, I = 29
- 48.30°, I = 26

***

# 6
# CsPtI6
Computed powder X-ray diffraction pattern, Cu Ka. Input: a structure optimized by DFT (GGA-PBE).

Crystal structure
a = 7.751 Å, b = 7.751 Å, c = 8.969 Å
α = 122.37°, β = 122.37°, γ = 67.35°
Fractional positions:
Cs (0.000, 0.000, 0.000)
Pt (0.500, 0.500, 0.500)
I (0.123, 0.590, 0.236)
I (0.325, 0.325, 0.569)
I (0.410, 0.877, 0.764)
I (0.590, 0.123, 0.236)
I (0.675, 0.675, 0.431)
I (0.877, 0.410, 0.764)

Top 10 peaks for 15° ≤ 2θ ≤ 90°, most intense first:
- 33.40°, I = 100
- 24.93°, I = 95
- 27.80°, I = 75
- 22.49°, I = 66
- 45.72°, I = 52
- 37.32°, I = 41
- 42.22°, I = 33
- 30.72°, I = 31
- 42.05°, I = 30
- 51.16°, I = 26

***

# 7
# Tm3SiSn2
Computed powder X-ray diffraction pattern, Cu Ka. Input: a structure optimized by DFT (GGA-PBE).

Crystal structure
a = 12.202 Å, b = 4.231 Å, c = 11.687 Å
α = 90.00°, β = 90.00°, γ = 90.00°
Fractional positions:
Tm (0.055, 0.250, 0.119)
Tm (0.115, 0.750, 0.545)
Tm (0.244, 0.250, 0.777)
Tm (0.256, 0.750, 0.277)
Tm (0.385, 0.250, 0.045)
Tm (0.445, 0.750, 0.619)
Tm (0.555, 0.250, 0.381)
Tm (0.615, 0.750, 0.955)
Tm (0.744, 0.250, 0.723)
Tm (0.756, 0.750, 0.223)
Tm (0.885, 0.250, 0.455)
Tm (0.945, 0.750, 0.881)
Si (0.124, 0.250, 0.371)
Si (0.376, 0.750, 0.871)
Si (0.624, 0.250, 0.129)
Si (0.876, 0.750, 0.629)
Sn (0.010, 0.250, 0.705)
Sn (0.189, 0.750, 0.995)
Sn (0.311, 0.250, 0.495)
Sn (0.490, 0.750, 0.205)
Sn (0.510, 0.250, 0.795)
Sn (0.689, 0.750, 0.505)
Sn (0.811, 0.250, 0.005)
Sn (0.990, 0.750, 0.295)

Top 10 peaks for 15° ≤ 2θ ≤ 90°, most intense first:
- 31.21°, I = 100
- 26.72°, I = 63
- 31.46°, I = 57
- 37.14°, I = 50
- 29.90°, I = 49
- 42.74°, I = 48
- 33.13°, I = 48
- 40.32°, I = 28
- 34.21°, I = 28
- 34.02°, I = 24

***

# 8
# Tl2AgBrCl2
Computed powder X-ray diffraction pattern, Cu Ka. Input: a structure optimized by DFT (GGA-PBE).

Crystal structure
a = 8.533 Å, b = 8.533 Å, c = 6.423 Å
α = 90.00°, β = 90.00°, γ = 69.93°
Fractional positions:
Tl (0.011, 0.316, 0.000)
Tl (0.316, 0.011, 0.500)
Tl (0.684, 0.989, 0.000)
Tl (0.989, 0.684, 0.500)
Ag (0.346, 0.654, 0.959)
Ag (0.654, 0.346, 0.459)
Br (0.381, 0.619, 0.515)
Br (0.619, 0.381, 0.015)
Cl (0.036, 0.665, 0.007)
Cl (0.335, 0.964, 0.007)
Cl (0.665, 0.036, 0.507)
Cl (0.964, 0.335, 0.507)

Top 10 peaks for 15° ≤ 2θ ≤ 90°, most intense first:
- 21.11°, I = 100
- 33.54°, I = 79
- 25.30°, I = 77
- 27.78°, I = 75
- 44.09°, I = 70
- 22.86°, I = 65
- 35.15°, I = 52
- 48.23°, I = 36
- 38.62°, I = 31
- 18.14°, I = 24

***

# 9
# LiPuInBi
Computed powder X-ray diffraction pattern, Cu Ka. Input: a structure optimized by DFT (GGA-PBE).

Crystal structure
a = 3.576 Å, b = 3.576 Å, c = 7.708 Å
α = 90.00°, β = 90.00°, γ = 90.00°
Fractional positions:
Li (0.000, 0.000, 0.000)
Pu (0.000, 0.000, 0.491)
In (0.500, 0.500, 0.213)
Bi (0.500, 0.500, 0.781)

Top 10 peaks for 15° ≤ 2θ ≤ 90°, most intense first:
- 34.21°, I = 100
- 27.50°, I = 60
- 35.50°, I = 50
- 62.92°, I = 35
- 50.65°, I = 22
- 51.08°, I = 18
- 34.92°, I = 16
- 58.99°, I = 15
- 65.99°, I = 14
- 60.40°, I = 14

***

# 10
# B3C5
Computed powder X-ray diffraction pattern, Cu Ka. Input: a structure optimized by DFT (GGA-PBE).

Crystal structure
a = 2.582 Å, b = 4.673 Å, c = 4.673 Å
α = 66.63°, β = 90.00°, γ = 90.00°
Fractional positions:
B (0.000, 0.000, 0.000)
B (0.500, 0.005, 0.510)
B (0.500, 0.510, 0.005)
C (0.000, 0.145, 0.626)
C (0.000, 0.502, 0.502)
C (0.000, 0.626, 0.145)
C (0.500, 0.123, 0.123)
C (0.500, 0.616, 0.616)

Top 10 peaks for 15° ≤ 2θ ≤ 90°, most intense first:
- 42.13°, I = 100
- 41.94°, I = 98
- 70.75°, I = 54
- 88.35°, I = 16
- 88.73°, I = 15
- 73.32°, I = 13
- 73.84°, I = 12
- 83.09°, I = 9
- 83.21°, I = 8
- 22.77°, I = 6